No. 1
Starting from DFT lattice parameters and positions (GGA-PBE), the PXRD pattern of Li4Pm5Tl4 was computed for Cu Ka.
Neutral-atom scattering factors, no anomalous dispersion.

Crystal structure
a = 8.921 Å, b = 8.921 Å, c = 8.921 Å
α = 93.98°, β = 93.98°, γ = 149.46°
Positions (direct):
Li  0.069  0.602  0.670
Li  0.398  0.069  0.467
Li  0.602  0.931  0.533
Li  0.931  0.398  0.330
Pm  0.129  0.207  0.335
Pm  0.207  0.871  0.078
Pm  0.500  0.500  0.000
Pm  0.793  0.129  0.922
Pm  0.871  0.793  0.665
Tl  0.241  0.444  0.685
Tl  0.444  0.759  0.202
Tl  0.556  0.241  0.798
Tl  0.759  0.556  0.315

Peak list (12 most intense, 15 to 90 degrees two-theta, in order of rising 2θ)
two_theta  I (rel.)
20.6  29.6
25.0  80.2
29.1  100.0
32.7  69.0
32.9  52.0
35.9  84.6
37.7  23.5
38.3  41.4
43.4  33.7
51.4  29.9
59.2  27.2
64.9  29.2

=====

No. 2
Starting from DFT lattice parameters and positions (GGA-PBE), the PXRD pattern of K2RbPuBr8 was computed for Cu Ka.
Neutral-atom scattering factors, no anomalous dispersion.

Crystal structure
a = 6.790 Å, b = 7.097 Å, c = 10.415 Å
α = 89.99°, β = 89.94°, γ = 85.66°
Positions (direct):
K  0.001  0.000  0.238
K  0.999  0.000  0.762
Rb  0.500  0.500  0.500
Pu  0.500  0.500  0.000
Br  0.265  0.379  0.194
Br  0.265  0.984  0.500
Br  0.266  0.378  0.806
Br  0.282  0.842  0.000
Br  0.718  0.158  0.000
Br  0.734  0.622  0.194
Br  0.735  0.016  0.500
Br  0.735  0.621  0.806

Peak list (12 most intense, 15 to 90 degrees two-theta, in order of rising 2θ)
two_theta  I (rel.)
15.1  69.6
17.0  29.9
18.8  54.2
21.5  65.6
24.5  68.9
25.2  32.5
29.4  46.7
30.6  32.7
33.3  100.0
34.4  33.3
34.8  56.8
46.5  48.9

=====

Which formula does entry 1 have? Li4Pm5Tl4